# TbScO4
Calculated powder diffraction line list, copper Kα. Input: a crystal structure in Alexandria, relaxed with PBE.
Peak positions follow from Bragg's law for the DFT cell and can differ from measured ones.

Top 6 peaks for 2θ from 10° to 90°, sorted by position:
2θ 14.8, intensity 732; 2θ 26.5, intensity 401; 2θ 28.1, intensity 495; 2θ 29.9, intensity 412; 2θ 31.2, intensity 1000; 2θ 42.6, intensity 443

Structural model:
```
TbScO4
1.0
6.7518 0.0000 0.0000
0.0000 3.6091 0.0000
-0.6180 0.0000 5.9673
Tb Sc O
2 2 8
direct
0.0000 0.0000 0.0000 Tb
0.5000 0.5000 0.0000 Tb
0.1408 0.5000 0.5454 Sc
0.6408 0.0000 0.5454 Sc
0.1721 0.5000 0.9024 O
0.2240 0.0000 0.3385 O
0.4158 0.0000 0.2377 O
0.4632 0.5000 0.6130 O
0.6721 0.0000 0.9024 O
0.7240 0.5000 0.3385 O
0.9158 0.5000 0.2377 O
0.9632 0.0000 0.6130 O
```


# Tb2ScO4
Calculated powder diffraction line list, copper Kα. Input: a crystal structure in Alexandria, relaxed with PBE.
Peak positions follow from Bragg's law for the DFT cell and can differ from measured ones.

Top 6 peaks for 2θ from 10° to 90°, sorted by position:
2θ 17.9, intensity 778; 2θ 30.4, intensity 890; 2θ 30.6, intensity 1000; 2θ 31.7, intensity 407; 2θ 35.3, intensity 422; 2θ 38.2, intensity 517

Structural model:
```
Tb2ScO4
1.0
11.3010 0.0000 0.0000
0.0000 3.3617 0.0000
-2.8206 0.0000 5.1685
Tb Sc O
4 2 8
direct
0.1975 0.0000 0.1992 Tb
0.3025 0.5000 0.8008 Tb
0.6975 0.5000 0.1992 Tb
0.8025 0.0000 0.8008 Tb
0.0000 0.5000 0.5000 Sc
0.5000 0.0000 0.5000 Sc
0.1211 0.5000 0.9097 O
0.1415 0.0000 0.5223 O
0.3585 0.5000 0.4777 O
0.3789 0.0000 0.0903 O
0.6211 0.0000 0.9097 O
0.6415 0.5000 0.5223 O
0.8585 0.0000 0.4777 O
0.8789 0.5000 0.0903 O
```


# Tb2Sc2Tl2O
Calculated powder diffraction line list, copper Kα. Input: a crystal structure in Alexandria, relaxed with PBE.
Peak positions follow from Bragg's law for the DFT cell and can differ from measured ones.

Top 6 peaks for 2θ from 10° to 90°, sorted by position:
2θ 22.1, intensity 427; 2θ 28.3, intensity 1000; 2θ 34.4, intensity 381; 2θ 36.3, intensity 993; 2θ 40.5, intensity 633; 2θ 70.9, intensity 404

Structural model:
```
Tb2Sc2Tl2O
1.0
4.4534 0.0000 0.0000
0.0000 4.4534 0.0000
0.0000 0.0000 16.0579
Tb Sc Tl O
4 4 4 2
direct
0.0000 0.0000 0.1661 Tb
0.0000 0.0000 0.8339 Tb
0.5000 0.5000 0.3339 Tb
0.5000 0.5000 0.6661 Tb
0.0000 0.5000 0.0000 Sc
0.0000 0.5000 0.5000 Sc
0.5000 0.0000 0.0000 Sc
0.5000 0.0000 0.5000 Sc
0.0000 0.0000 0.3658 Tl
0.0000 0.0000 0.6342 Tl
0.5000 0.5000 0.1342 Tl
0.5000 0.5000 0.8658 Tl
0.0000 0.0000 0.0000 O
0.5000 0.5000 0.5000 O
```


# Sc4Te5O
Calculated powder diffraction line list, copper Kα. Input: a crystal structure in Alexandria, relaxed with PBE.
Peak positions follow from Bragg's law for the DFT cell and can differ from measured ones.

Top 6 peaks for 2θ from 10° to 90°, sorted by position:
2θ 16.6, intensity 289; 2θ 27.4, intensity 1000; 2θ 27.7, intensity 466; 2θ 35.6, intensity 292; 2θ 36.4, intensity 269; 2θ 40.2, intensity 295

Structural model:
```
Sc4Te5O
1.0
7.9168 -2.0882 0.0000
7.9168 2.0882 0.0000
-3.0600 0.0000 9.9763
Sc Te O
4 5 1
direct
0.0037 0.0037 0.3115 Sc
0.3753 0.3753 0.9390 Sc
0.6247 0.6247 0.0610 Sc
0.9963 0.9963 0.6885 Sc
0.1595 0.1595 0.8752 Te
0.1668 0.1668 0.2741 Te
0.5000 0.5000 0.5000 Te
0.8332 0.8332 0.7259 Te
0.8405 0.8405 0.1248 Te
0.5000 0.5000 0.0000 O
```


# Sc2Te2O
Calculated powder diffraction line list, copper Kα. Input: a crystal structure in Alexandria, relaxed with PBE.
Peak positions follow from Bragg's law for the DFT cell and can differ from measured ones.

Top 6 peaks for 2θ from 10° to 90°, sorted by position:
2θ 25.9, intensity 257; 2θ 27.7, intensity 423; 2θ 30.7, intensity 1000; 2θ 31.5, intensity 452; 2θ 38.9, intensity 491; 2θ 44.5, intensity 262

Structural model:
```
Sc2Te2O
1.0
-3.5701 5.4192 2.8392
3.5701 -5.4192 2.8392
3.5701 5.4192 -2.8392
Sc Te O
4 4 2
direct
0.0815 0.1914 0.2729 Sc
0.4185 0.6914 0.1099 Sc
0.5815 0.3086 0.8901 Sc
0.9185 0.8086 0.7271 Sc
0.1504 0.6257 0.7761 Te
0.3496 0.1257 0.4753 Te
0.6504 0.8743 0.5247 Te
0.8496 0.3743 0.2239 Te
0.2500 0.2500 0.0000 O
0.7500 0.7500 0.0000 O
```


# ScTl2TeO8
Calculated powder diffraction line list, copper Kα. Input: a crystal structure in Alexandria, relaxed with PBE.
Peak positions follow from Bragg's law for the DFT cell and can differ from measured ones.

Top 6 peaks for 2θ from 10° to 90°, sorted by position:
2θ 17.6, intensity 346; 2θ 24.5, intensity 671; 2θ 25.5, intensity 562; 2θ 32.4, intensity 1000; 2θ 48.4, intensity 455; 2θ 49.5, intensity 379

Structural model:
```
ScTl2TeO8
1.0
3.4876 -3.6337 0.0000
3.4876 3.6337 0.0000
0.0000 0.0000 6.6095
Sc Tl Te O
1 2 1 8
direct
0.0000 0.0000 0.0000 Sc
0.5000 0.5000 0.2479 Tl
0.5000 0.5000 0.7521 Tl
0.0000 0.0000 0.5000 Te
0.1743 0.8257 0.2745 O
0.1743 0.8257 0.7255 O
0.2835 0.2835 0.5000 O
0.2932 0.2932 0.0000 O
0.7068 0.7068 0.0000 O
0.7165 0.7165 0.5000 O
0.8257 0.1743 0.2745 O
0.8257 0.1743 0.7255 O
```


# ScZnTe2O8
Calculated powder diffraction line list, copper Kα. Input: a crystal structure in Alexandria, relaxed with PBE.
Peak positions follow from Bragg's law for the DFT cell and can differ from measured ones.

Top 6 peaks for 2θ from 10° to 90°, sorted by position:
2θ 18.4, intensity 215; 2θ 25.6, intensity 1000; 2θ 31.7, intensity 299; 2θ 32.3, intensity 821; 2θ 49.6, intensity 666; 2θ 63.2, intensity 196

Structural model:
```
ScZnTe2O8
1.0
-3.4734 3.4734 3.3594
3.4734 -3.4734 3.3594
3.4734 3.4734 -3.3594
Sc Zn Te O
1 1 2 8
direct
0.0000 0.0000 0.0000 Sc
0.7500 0.2500 0.5000 Zn
0.2500 0.7500 0.5000 Te
0.5000 0.5000 0.0000 Te
0.0582 0.3599 0.3017 O
0.0582 0.7564 0.6983 O
0.1070 0.3008 0.8061 O
0.2436 0.9418 0.3017 O
0.4947 0.3008 0.1939 O
0.6401 0.9418 0.6983 O
0.6992 0.5053 0.8061 O
0.6992 0.8930 0.1939 O
```


# Th4ScO10
Calculated powder diffraction line list, copper Kα. Input: a crystal structure in Alexandria, relaxed with PBE.
Peak positions follow from Bragg's law for the DFT cell and can differ from measured ones.

Top 6 peaks for 2θ from 10° to 90°, sorted by position:
2θ 27.8, intensity 1000; 2θ 28.5, intensity 296; 2θ 32.4, intensity 443; 2θ 46.0, intensity 356; 2θ 46.9, intensity 281; 2θ 55.0, intensity 292

Structural model:
```
Th4ScO10
1.0
1.9733 1.1393 15.6562
-1.9733 1.1393 15.6562
0.0000 -2.2786 15.6562
Th Sc O
4 1 10
direct
0.1044 0.1044 0.1044 Th
0.2986 0.2986 0.2986 Th
0.7014 0.7014 0.7014 Th
0.8956 0.8956 0.8956 Th
0.5000 0.5000 0.5000 Sc
0.0522 0.0522 0.0522 O
0.1559 0.1559 0.1559 O
0.2465 0.2465 0.2465 O
0.3506 0.3506 0.3506 O
0.4548 0.4548 0.4548 O
0.5452 0.5452 0.5452 O
0.6494 0.6494 0.6494 O
0.7535 0.7535 0.7535 O
0.8441 0.8441 0.8441 O
0.9478 0.9478 0.9478 O
```